No. 1
KBaPrWO6: theoretical X-ray powder pattern (copper Kα), based on a structure optimized by DFT (GGA+U).

Structural model:
Unit cell a=8.661 b=8.661 c=8.661 alpha=90.00 beta=90.00 gamma=90.00
Space group F-43m (No. 216)
Inequivalent atoms, fractional coordinates:
1 K 0.000 0.000 0.000 (multiplicity 4)
2 Ba 0.000 0.000 0.500 (multiplicity 4)
3 Pr 0.250 0.250 0.250 (multiplicity 4)
4 W 0.250 0.250 0.750 (multiplicity 4)
5 O 0.023 0.250 0.750 (multiplicity 24)

Most intense lines, 2θ from 10° to 80°, by angle:
- (1 1 1), 17.7 deg, d = 5.001 Å, I 11.1
- (2 0 0), 20.5 deg, d = 4.331 Å, I 19.1
- (2 2 0), 29.2 deg, d = 3.062 Å, I 100.0
- (3 1 1), 34.3 deg, d = 2.611 Å, I 5.7
- (4 0 0), 41.7 deg, d = 2.165 Å, I 30.0
- (4 2 0), 46.9 deg, d = 1.937 Å, I 8.3
- (4 2 2), 51.7 deg, d = 1.768 Å, I 40.2
- (5 1 1), 55.1 deg, d = 1.667 Å, I 2.5
- (4 4 0), 60.5 deg, d = 1.531 Å, I 18.6
- (6 0 0), 64.6 deg, d = 1.444 Å, I 3.9
- (6 2 0), 68.5 deg, d = 1.369 Å, I 18.5
- (4 4 4), 76.1 deg, d = 1.250 Å, I 6.1


No. 2
NaDySnWO6: theoretical X-ray powder pattern (copper Kα), based on a structure optimized by DFT (GGA+U).

Structural model:
Unit cell a=8.335 b=8.335 c=8.335 alpha=90.00 beta=90.00 gamma=90.00
Space group F-43m (No. 216)
Inequivalent atoms, fractional coordinates:
1 Na 0.000 0.000 0.000 (multiplicity 4)
2 Dy 0.250 0.250 0.750 (multiplicity 4)
3 Sn 0.000 0.000 0.500 (multiplicity 4)
4 W 0.250 0.250 0.250 (multiplicity 4)
5 O 0.016 0.250 0.250 (multiplicity 24)

Most intense lines, 2θ from 10° to 80°, by angle:
- (1 1 1), 18.4 deg, d = 4.812 Å, I 11.0
- (2 0 0), 21.3 deg, d = 4.167 Å, I 31.4
- (2 2 0), 30.3 deg, d = 2.947 Å, I 100.0
- (3 1 1), 35.7 deg, d = 2.513 Å, I 6.2
- (4 0 0), 43.4 deg, d = 2.084 Å, I 30.6
- (3 3 1), 47.6 deg, d = 1.912 Å, I 2.8
- (4 2 0), 48.9 deg, d = 1.864 Å, I 12.9
- (4 2 2), 53.9 deg, d = 1.701 Å, I 41.2
- (4 4 0), 63.1 deg, d = 1.473 Å, I 19.1
- (6 0 0), 67.4 deg, d = 1.389 Å, I 5.9
- (6 2 0), 71.6 deg, d = 1.318 Å, I 18.5
- (4 4 4), 79.7 deg, d = 1.203 Å, I 6.4


No. 3
Li2CrNiO4: theoretical X-ray powder pattern (copper Kα), based on a structure optimized by DFT (GGA+U).

Structural model:
Unit cell a=9.438 b=4.050 c=8.123 alpha=90.00 beta=115.35 gamma=90.00
Space group Cm (No. 8)
Inequivalent atoms, fractional coordinates:
1 Li 0.000 0.000 0.000 (multiplicity 2)
2 Li 0.001 0.000 0.501 (multiplicity 2)
3 Li 0.243 0.500 0.123 (multiplicity 2)
4 Li 0.254 0.500 0.626 (multiplicity 2)
5 Cr 0.002 0.500 0.249 (multiplicity 2)
6 Cr 0.496 0.000 0.749 (multiplicity 2)
7 Ni 0.246 0.000 0.875 (multiplicity 2)
8 Ni 0.254 0.000 0.377 (multiplicity 2)
9 O 0.013 0.000 0.757 (multiplicity 2)
10 O 0.028 0.000 0.264 (multiplicity 2)
11 O 0.231 0.500 0.867 (multiplicity 2)
12 O 0.236 0.500 0.369 (multiplicity 2)
13 O 0.264 0.000 0.618 (multiplicity 2)
14 O 0.268 0.000 0.148 (multiplicity 2)
15 O 0.479 0.000 0.489 (multiplicity 2)
16 O 0.482 0.000 0.992 (multiplicity 2)

Most intense lines, 2θ from 10° to 80°, by angle:
- (2 0 -2), 24.3 deg, d = 3.663 Å, I 100.0
- (1 1 2), 37.8 deg, d = 2.380 Å, I 18.9
- (2 0 2), 38.7 deg, d = 2.329 Å, I 11.9
- (4 0 0), 42.4 deg, d = 2.132 Å, I 26.7
- (2 0 -4), 44.6 deg, d = 2.031 Å, I 24.1
- (0 2 0), 44.8 deg, d = 2.025 Å, I 24.2
- (1 1 -4), 51.5 deg, d = 1.776 Å, I 11.1
- (2 2 -2), 51.6 deg, d = 1.773 Å, I 11.2
- (5 1 0), 58.7 deg, d = 1.573 Å, I 7.9
- (2 0 4), 63.1 deg, d = 1.472 Å, I 6.7
- (4 2 0), 63.3 deg, d = 1.469 Å, I 20.1
- (2 2 -4), 65.0 deg, d = 1.434 Å, I 13.0


No. 4
CaV6O11F: theoretical X-ray powder pattern (copper Kα), based on a structure optimized by DFT (GGA+U).

Structural model:
Unit cell a=5.176 b=5.389 c=8.572 alpha=86.32 beta=87.28 gamma=74.95
Space group P1 (No. 1)
Inequivalent atoms, fractional coordinates:
1 Ca 0.000 0.000 0.000 (multiplicity 1)
2 V 0.166 0.437 0.282 (multiplicity 1)
3 V 0.172 0.436 0.596 (multiplicity 1)
4 V 0.200 0.439 0.943 (multiplicity 1)
5 V 0.569 0.825 0.148 (multiplicity 1)
6 V 0.576 0.832 0.766 (multiplicity 1)
7 V 0.755 0.029 0.444 (multiplicity 1)
8 O 0.331 0.617 0.101 (multiplicity 1)
9 O 0.337 0.574 0.425 (multiplicity 1)
10 O 0.351 0.629 0.763 (multiplicity 1)
11 O 0.439 0.071 0.950 (multiplicity 1)
12 O 0.479 0.118 0.285 (multiplicity 1)
13 O 0.481 0.119 0.615 (multiplicity 1)
14 O 0.825 0.695 0.933 (multiplicity 1)
15 O 0.851 0.743 0.605 (multiplicity 1)
16 O 0.883 0.783 0.276 (multiplicity 1)
17 O 0.968 0.247 0.450 (multiplicity 1)
18 O 0.999 0.324 0.130 (multiplicity 1)
19 F 0.010 0.269 0.784 (multiplicity 1)

Most intense lines, 2θ from 10° to 80°, by angle:
- (1 1 0), 21.3 deg, d = 4.179 Å, I 78.9
- (1 1 1), 23.0 deg, d = 3.862 Å, I 15.4
- (1 -1 0), 27.8 deg, d = 3.212 Å, I 100.0
- (1 1 2), 28.8 deg, d = 3.099 Å, I 12.2
- (1 1 -2), 31.0 deg, d = 2.889 Å, I 15.6
- (0 1 3), 35.1 deg, d = 2.557 Å, I 15.3
- (1 0 3), 35.8 deg, d = 2.510 Å, I 18.3
- (1 0 -3), 36.8 deg, d = 2.443 Å, I 20.2
- (1 1 -3), 39.5 deg, d = 2.281 Å, I 29.3
- (2 2 3), 52.5 deg, d = 1.744 Å, I 20.6
- (1 -2 3), 55.2 deg, d = 1.665 Å, I 12.9
- (-2 1 3), 55.3 deg, d = 1.662 Å, I 13.2


No. 5
Rb3NaMgW2O8: theoretical X-ray powder pattern (copper Kα), based on a structure optimized by DFT (GGA+U).

Structural model:
Unit cell a=12.958 b=6.253 c=8.078 alpha=90.00 beta=99.56 gamma=90.00
Space group C2/m (No. 12)
Inequivalent atoms, fractional coordinates:
1 Rb 0.000 0.000 0.000 (multiplicity 2)
2 Rb 0.230 0.500 0.339 (multiplicity 4)
3 Na 0.000 0.000 0.500 (multiplicity 2)
4 Mg 0.000 0.500 0.500 (multiplicity 2)
5 W 0.175 0.500 0.787 (multiplicity 4)
6 O 0.090 0.289 0.644 (multiplicity 8)
7 O 0.155 0.500 0.005 (multiplicity 4)
8 O 0.191 0.000 0.263 (multiplicity 4)

Most intense lines, 2θ from 10° to 80°, by angle:
- (2 0 0), 13.9 deg, d = 6.389 Å, I 48.7
- (2 0 -1), 16.3 deg, d = 5.445 Å, I 27.8
- (1 1 -1), 18.7 deg, d = 4.757 Å, I 52.2
- (2 0 1), 19.2 deg, d = 4.623 Å, I 37.0
- (3 1 0), 25.3 deg, d = 3.520 Å, I 100.0
- (1 1 -2), 26.5 deg, d = 3.367 Å, I 83.8
- (2 0 2), 28.3 deg, d = 3.153 Å, I 42.2
- (0 2 0), 28.6 deg, d = 3.126 Å, I 65.4
- (3 1 -2), 31.5 deg, d = 2.838 Å, I 32.0
- (2 2 0), 31.9 deg, d = 2.808 Å, I 26.9
- (2 2 2), 40.6 deg, d = 2.220 Å, I 47.2
- (1 3 -2), 49.3 deg, d = 1.847 Å, I 28.6